Structure and simulated powder XRD pattern of MnOsBr6 (the GGA-PBE geometry in Alexandria; Cu Kα).

Principal peaks in the range 15° ≤ 2θ ≤ 90°, low angle first:
16.02°, I = 28
17.78°, I = 79
29.04°, I = 16
32.04°, I = 100
33.00°, I = 49
36.01°, I = 16
40.96°, I = 33
43.24°, I = 24
46.66°, I = 64
48.79°, I = 21
55.45°, I = 21
60.18°, I = 17

Crystal structure
```
MnOsBr6
1.0
6.589 0.000 0.000
0.000 12.636 0.000
-2.358 0.000 6.149
Mn Os Br
2 2 12
Cartesian
0.000 0.000 0.000
3.295 6.318 0.000
-1.179 6.318 3.074
2.115 0.000 3.074
0.847 6.318 1.674
-0.139 4.563 4.577
-0.139 8.073 4.577
1.075 1.755 1.572
1.075 10.882 1.572
0.089 0.000 4.474
4.142 0.000 1.674
3.156 1.755 4.577
3.156 10.882 4.577
4.370 4.563 1.572
4.370 8.073 1.572
3.384 6.318 4.474
```

***

Structure and simulated powder XRD pattern of MnTc2OsBr (the GGA-PBE geometry in Alexandria; Cu Kα).

Principal peaks in the range 15° ≤ 2θ ≤ 90°, low angle first:
19.63°, I = 30
27.90°, I = 10
34.35°, I = 100
39.88°, I = 80
44.83°, I = 14
49.38°, I = 4
57.67°, I = 53
61.53°, I = 7
68.87°, I = 40
72.40°, I = 18
86.00°, I = 9
89.34°, I = 4

Crystal structure
```
MnTc2OsBr
1.0
4.523 0.000 0.000
0.000 4.523 0.000
0.000 0.000 4.519
Mn Tc Os Br
1 2 1 1
Cartesian
0.000 0.000 0.000
0.000 2.261 0.000
2.261 0.000 0.000
0.000 0.000 2.260
2.261 2.261 2.260
```

***

Structure and simulated powder XRD pattern of MnPbBr6 (the GGA-PBE geometry in Alexandria; Cu Kα).

Principal peaks in the range 15° ≤ 2θ ≤ 90°, low angle first:
18.89°, I = 18
27.91°, I = 100
28.04°, I = 56
28.39°, I = 21
34.99°, I = 36
35.31°, I = 75
36.73°, I = 23
40.82°, I = 29
44.26°, I = 48
46.43°, I = 32
53.81°, I = 17
71.69°, I = 19

Crystal structure
```
MnPbBr6
1.0
7.098 0.000 0.000
0.000 12.262 0.000
-0.075 0.000 7.340
Mn Pb Br
2 2 12
Cartesian
0.000 0.000 0.000
3.549 6.131 0.000
-0.037 0.000 3.670
3.512 6.131 3.670
1.000 1.757 1.422
1.000 10.505 1.422
1.507 6.131 1.392
1.968 0.000 5.948
2.475 4.374 5.917
2.475 7.888 5.917
4.548 4.374 1.422
4.548 7.888 1.422
5.056 0.000 1.392
5.517 6.131 5.948
6.024 1.757 5.917
6.024 10.505 5.917
```

***

Structure and simulated powder XRD pattern of Mn5Pb3Br16 (the GGA-PBE geometry in Alexandria; Cu Kα).

Principal peaks in the range 15° ≤ 2θ ≤ 90°, low angle first:
27.95°, I = 44
28.90°, I = 53
29.23°, I = 98
32.04°, I = 36
32.95°, I = 100
33.25°, I = 28
33.40°, I = 53
38.00°, I = 34
43.59°, I = 81
43.80°, I = 37
44.38°, I = 29
45.20°, I = 48

Crystal structure
```
Mn5Pb3Br16
1.0
7.281 -4.012 0.000
7.281 4.012 0.000
-0.342 0.000 12.657
Mn Pb Br
5 3 16
Cartesian
0.000 0.000 0.000
8.462 1.944 6.472
7.421 0.000 3.202
8.462 -1.944 6.472
12.064 0.000 9.263
3.739 1.975 0.152
4.836 0.000 6.395
3.739 -1.975 0.152
-0.114 0.000 7.833
1.805 0.000 11.156
5.813 2.181 10.941
2.074 0.000 5.182
6.523 1.982 4.841
8.347 1.955 1.561
4.978 0.000 2.183
10.603 1.917 7.957
7.529 0.000 7.845
9.475 0.000 4.961
9.726 0.000 10.902
5.813 -2.181 10.941
6.523 -1.982 4.841
8.347 -1.955 1.561
12.557 0.000 1.736
10.603 -1.917 7.957
```

***

Structure and simulated powder XRD pattern of MnPb2S2Br2 (the GGA-PBE geometry in Alexandria; Cu Kα).

Principal peaks in the range 15° ≤ 2θ ≤ 90°, low angle first:
24.26°, I = 94
24.39°, I = 22
27.09°, I = 53
28.30°, I = 70
30.47°, I = 96
32.28°, I = 100
37.88°, I = 29
43.57°, I = 37
43.67°, I = 42
48.81°, I = 43
50.51°, I = 37
50.63°, I = 34

Crystal structure
```
MnPb2S2Br2
1.0
14.630 0.000 0.000
0.000 4.153 0.000
-4.104 0.000 6.628
Mn Pb S Br
2 4 4 4
Cartesian
0.000 0.000 0.000
7.315 2.076 0.000
-0.043 0.000 3.886
3.254 2.076 2.741
7.272 2.076 3.886
10.569 0.000 2.741
1.710 0.000 1.735
1.501 2.076 4.892
9.025 2.076 1.735
8.816 0.000 4.892
-2.776 2.076 5.234
5.987 0.000 1.394
4.539 0.000 5.234
13.302 2.076 1.394
```

***

Structure and simulated powder XRD pattern of MnSnPb2Br8 (the GGA-PBE geometry in Alexandria; Cu Kα).

Principal peaks in the range 15° ≤ 2θ ≤ 90°, low angle first:
18.12°, I = 72
18.29°, I = 84
24.24°, I = 61
27.30°, I = 100
28.61°, I = 49
35.30°, I = 30
35.90°, I = 51
36.08°, I = 77
36.71°, I = 34
41.16°, I = 36
43.54°, I = 64
45.36°, I = 29

Crystal structure
```
MnSnPb2Br8
1.0
6.716 0.000 0.000
0.000 8.773 0.000
-0.066 0.000 7.081
Mn Sn Pb Br
1 1 2 8
Cartesian
0.000 0.000 0.000
0.000 4.386 0.000
3.325 2.091 3.541
3.325 6.681 3.541
1.496 1.976 1.053
1.496 6.797 1.053
1.536 0.000 4.840
1.682 4.386 4.667
4.969 4.386 2.414
5.114 0.000 2.241
5.155 1.976 6.028
5.155 6.797 6.028
```